# Na2W3O10
Computed X-ray powder pattern, Cu Kα (weighted mean of Kα1 and Kα2). Input: a crystal structure in Alexandria, relaxed with GGA+U.

```
data_Na2W3O10
_cell_length_a 18.2906
_cell_length_b 6.0219
_cell_length_c 8.4195
_cell_angle_alpha 90.00
_cell_angle_beta 110.70
_cell_angle_gamma 90.00
_symmetry_space_group_name_H-M 'C 1 2/m 1'
_symmetry_Int_Tables_number 12
_symmetry_space_group_name_Hall '-C 2y'
loop_
_atom_site_label
_atom_site_type_symbol
_atom_site_fract_x
_atom_site_fract_y
_atom_site_fract_z
Na1 Na 0.0910 0.0000 0.1245
Na2 Na 0.2237 0.0000 0.9386
W1 W 0.0000 0.2509 0.5000
W2 W 0.0929 0.5000 0.0350
W3 W 0.1898 0.5000 0.5352
O1 O 0.0000 0.2945 0.0000
O2 O 0.0155 0.0000 0.6589
O3 O 0.0193 0.5000 0.6641
O4 O 0.1081 0.2769 0.5272
O5 O 0.1358 0.5000 0.2683
O6 O 0.1447 0.2709 0.9823
O7 O 0.2350 0.5000 0.7583
O8 O 0.2500 0.2500 0.5000
```

Largest 6 diffraction maxima, in order of rising 2θ, 2θ from 10° to 90°:
2θ/deg, Rel. int.
15.6, 67.5
21.5, 54.6
22.6, 100.0
26.0, 39.6
27.0, 38.1
29.3, 41.9